1.
# ReGeI2O
Calculated XRD peak list, CuKα. Input: a crystal structure in Alexandria, relaxed with GGA-PBE.
Kinematic intensities with the Lorentz-polarization factor, no thermal factor.

Main lines, low angle first (2θ = 10–80°):
2θ 15.8, d 5.601, I = 30.6
2θ 23.6, d 3.776, I = 45.4
2θ 28.5, d 3.131, I = 56.3
2θ 32.0, d 2.801, I = 100.0
2θ 40.1, d 2.250, I = 45.5
2θ 43.3, d 2.087, I = 37.1
2θ 45.8, d 1.980, I = 36.4
2θ 59.0, d 1.566, I = 33.9

```
ReGeI2O
1.0
5.6014 0.0000 0.0000
0.0000 5.6014 0.0000
0.0000 0.0000 3.7763
Re Ge I O
1 1 2 1
Direct
0.0000 0.0000 0.0000
0.5000 0.5000 0.5000
0.0000 0.5000 0.0000
0.5000 0.0000 0.0000
0.0000 0.0000 0.5000
```

---

2.
# Li8UO6
Calculated XRD peak list, CuKα. Input: a crystal structure in Alexandria, relaxed with GGA-PBE.
Kinematic intensities with the Lorentz-polarization factor, no thermal factor.

Main lines, low angle first (2θ = 10–80°):
2θ 16.2, d 5.466, I = 36.3
2θ 17.5, d 5.064, I = 94.2
2θ 24.0, d 3.715, I = 100.0
2θ 30.6, d 2.923, I = 34.0
2θ 34.8, d 2.578, I = 24.0
2θ 37.4, d 2.405, I = 33.1
2θ 39.2, d 2.297, I = 30.7
2θ 50.5, d 1.806, I = 29.0

```
Li8UO6
1.0
5.8468 0.0000 0.0000
-2.9234 5.0635 0.0000
0.0000 0.0000 10.9328
Li U O
16 2 12
Direct
0.0000 0.3190 0.0000
0.0000 0.4287 0.3574
0.0000 0.5713 0.8574
0.0000 0.6810 0.5000
0.3190 0.0000 0.0000
0.3190 0.3190 0.5000
0.3333 0.6667 0.1350
0.3333 0.6667 0.6350
0.4287 0.0000 0.3574
0.4287 0.4287 0.8574
0.5713 0.0000 0.8574
0.5713 0.5713 0.3574
0.6667 0.3333 0.1350
0.6667 0.3333 0.6350
0.6810 0.0000 0.5000
0.6810 0.6810 0.0000
0.0000 0.0000 0.2265
0.0000 0.0000 0.7265
0.0000 0.0000 0.4235
0.0000 0.0000 0.9235
0.0000 0.3474 0.1819
0.0000 0.6526 0.6819
0.3333 0.6667 0.4451
0.3333 0.6667 0.9451
0.3474 0.0000 0.1819
0.3474 0.3474 0.6819
0.6526 0.0000 0.6819
0.6526 0.6526 0.1819
0.6667 0.3333 0.4451
0.6667 0.3333 0.9451
```

---

3.
# CuH6C2SeI
Calculated XRD peak list, CuKα. Input: a crystal structure in Alexandria, relaxed with GGA-PBE.
Kinematic intensities with the Lorentz-polarization factor, no thermal factor.

Main lines, low angle first (2θ = 10–80°):
2θ 11.1, d 7.939, I = 90.5
2θ 14.5, d 6.089, I = 100.0
2θ 22.3, d 3.988, I = 56.2
2θ 23.3, d 3.811, I = 44.4
2θ 26.5, d 3.367, I = 20.9
2θ 28.1, d 3.174, I = 29.8
2θ 28.5, d 3.127, I = 22.7
2θ 29.3, d 3.049, I = 23.2

```
CuH6C2SeI
1.0
7.9576 0.0000 0.0000
0.0000 7.1984 0.0000
-0.7784 0.0000 11.4143
Cu H C Se I
4 24 8 4 4
Direct
0.0009 0.0320 0.3808
0.0009 0.4680 0.8808
0.9991 0.5320 0.1192
0.9991 0.9680 0.6192
0.1155 0.5599 0.4289
0.1155 0.9401 0.9289
0.2840 0.5035 0.3381
0.2840 0.9965 0.8381
0.2947 0.5213 0.6383
0.2947 0.9787 0.1383
0.3018 0.7029 0.4357
0.3018 0.7971 0.9357
0.3863 0.7495 0.1576
0.3863 0.7505 0.6576
0.4011 0.5830 0.7767
0.4011 0.9170 0.2767
0.5989 0.0830 0.7233
0.5989 0.4170 0.2233
0.6137 0.2495 0.3424
0.6137 0.2505 0.8424
0.6982 0.2029 0.0643
0.6982 0.2971 0.5643
0.7053 0.0213 0.8617
0.7053 0.4787 0.3617
0.7160 0.0035 0.1619
0.7160 0.4965 0.6619
0.8845 0.0599 0.0711
0.8845 0.4401 0.5711
0.2170 0.6160 0.3795
0.2170 0.8840 0.8795
0.3249 0.6347 0.7001
0.3249 0.8653 0.2001
0.6751 0.1347 0.7999
0.6751 0.3653 0.2999
0.7830 0.1160 0.1205
0.7830 0.3840 0.6205
0.1111 0.7243 0.7565
0.1111 0.7757 0.2565
0.8889 0.2243 0.7435
0.8889 0.2757 0.2435
0.2534 0.1304 0.5254
0.2534 0.3696 0.0254
0.7466 0.6304 0.9746
0.7466 0.8696 0.4746
```

---

4.
# Dy8HoEr2
Calculated XRD peak list, CuKα. Input: a crystal structure in Alexandria, relaxed with GGA-PBE.
Kinematic intensities with the Lorentz-polarization factor, no thermal factor.

Main lines, low angle first (2θ = 10–80°):
2θ 31.1, d 2.878, I = 100.0
2θ 36.0, d 2.495, I = 33.8
2θ 36.1, d 2.489, I = 16.8
2θ 51.8, d 1.763, I = 24.0
2θ 51.9, d 1.761, I = 12.0
2θ 61.7, d 1.504, I = 25.0
2θ 61.8, d 1.502, I = 17.7
2θ 64.8, d 1.439, I = 9.2

```
Dy8HoEr2
1.0
6.0997 0.0000 0.0000
1.0288 6.0189 0.0000
1.0270 -0.1644 9.2820
Dy Ho Er
8 1 2
Direct
0.0459 0.4090 0.3181
0.1360 0.2271 0.9548
0.2274 0.0453 0.5910
0.4092 0.6816 0.8637
0.5908 0.3184 0.1363
0.7726 0.9547 0.4090
0.8640 0.7729 0.0452
0.9541 0.5910 0.6819
0.5000 0.5000 0.5000
0.3182 0.8637 0.2274
0.6818 0.1363 0.7726
```